No. 1
Diffraction record for NaNbCl4O. The powder X-ray diffraction pattern is theoretical, not measured: it uses a DFT-relaxed cell (GGA-PBE, OQMD) and Cu Kα (λ = 1.5418 Å).

The 8 most intense peaks (2θ = 10–90°), in order of rising 2θ:
2θ = 13.5°, d 6.583, intensity 62; 2θ = 14.3°, d 6.173, intensity 100; 2θ = 16.5°, d 5.377, intensity 43; 2θ = 23.4°, d 3.808, intensity 99; 2θ = 25.9°, d 3.436, intensity 37; 2θ = 28.1°, d 3.172, intensity 28; 2θ = 33.3°, d 2.688, intensity 58; 2θ = 34.5°, d 2.599, intensity 50

Structure:
Cell: 12.939 4.003 6.899 Å, 90.00 107.41 90.00°
Fractional coordinates of all 14 atoms:
Na 0.000 0.000 0.000
Na 0.500 0.500 0.000
Nb 0.000 0.452 0.500
Nb 0.500 0.952 0.500
Cl 0.130 0.514 0.313
Cl 0.140 0.516 0.817
Cl 0.360 0.016 0.183
Cl 0.370 0.014 0.687
Cl 0.630 0.014 0.313
Cl 0.640 0.016 0.817
Cl 0.860 0.516 0.183
Cl 0.870 0.514 0.687
O 0.000 0.003 0.500
O 0.500 0.503 0.500



No. 2
Diffraction record for Na9ZrP4ClO16. The powder X-ray diffraction pattern is theoretical, not measured: it uses a DFT-relaxed cell (GGA-PBE, OQMD) and Cu Kα (λ = 1.5418 Å).

The 8 most intense peaks (2θ = 10–90°), in order of rising 2θ:
2θ = 10.5°, d 8.427, intensity 87; 2θ = 19.8°, d 4.479, intensity 34; 2θ = 23.7°, d 3.752, intensity 55; 2θ = 24.6°, d 3.622, intensity 44; 2θ = 31.2°, d 2.868, intensity 54; 2θ = 33.7°, d 2.661, intensity 100; 2θ = 34.1°, d 2.631, intensity 47; 2θ = 34.5°, d 2.599, intensity 84

Structure:
Cell: 5.326 9.018 9.072 Å, 111.17 91.57 90.72°
Fractional coordinates of all 31 atoms:
Na 0.000 0.000 0.000
Na 0.006 0.617 0.583
Na 0.373 0.154 0.794
Na 0.400 0.535 0.009
Na 0.455 0.687 0.415
Na 0.474 0.264 0.194
Na 0.490 0.816 0.825
Na 0.872 0.353 0.832
Na 0.917 0.740 0.246
Zr 0.967 0.175 0.422
P 0.438 0.938 0.222
P 0.488 0.419 0.604
P 0.917 0.962 0.664
P 0.983 0.384 0.161
Cl 0.957 0.674 0.917
O 0.114 0.524 0.294
O 0.156 0.315 0.018
O 0.161 0.913 0.728
O 0.168 0.974 0.292
O 0.307 0.307 0.469
O 0.440 0.984 0.075
O 0.441 0.590 0.619
O 0.458 0.384 0.755
O 0.490 0.766 0.198
O 0.636 0.047 0.345
O 0.726 0.431 0.111
O 0.728 0.022 0.797
O 0.767 0.380 0.549
O 0.816 0.826 0.517
O 0.932 0.241 0.220
O 0.991 0.115 0.622



No. 3
Diffraction record for Na2Pr3Te4Cl3O12. The powder X-ray diffraction pattern is theoretical, not measured: it uses a DFT-relaxed cell (GGA-PBE, OQMD) and Cu Kα (λ = 1.5418 Å).

The 8 most intense peaks (2θ = 10–90°), in order of rising 2θ:
2θ = 10.5°, d 8.455, intensity 57; 2θ = 19.4°, d 4.578, intensity 24; 2θ = 24.3°, d 3.664, intensity 33; 2θ = 24.5°, d 3.634, intensity 37; 2θ = 30.4°, d 2.940, intensity 100; 2θ = 30.8°, d 2.907, intensity 91; 2θ = 31.3°, d 2.862, intensity 58; 2θ = 44.8°, d 2.024, intensity 39

Structure:
Cell: 12.292 12.292 16.913 Å, 132.58 132.58 26.92°
Fractional coordinates of all 48 atoms:
Na 0.090 0.201 0.061
Na 0.201 0.090 0.561
Na 0.799 0.910 0.439
Na 0.910 0.799 0.939
Pr 0.003 0.997 0.250
Pr 0.332 0.337 0.588
Pr 0.337 0.332 0.088
Pr 0.663 0.668 0.912
Pr 0.668 0.663 0.412
Pr 0.997 0.003 0.750
Te 0.137 0.243 0.800
Te 0.243 0.137 0.300
Te 0.418 0.542 0.588
Te 0.458 0.582 0.912
Te 0.542 0.418 0.088
Te 0.582 0.458 0.412
Te 0.757 0.863 0.700
Te 0.863 0.757 0.200
Cl 0.000 0.000 0.000
Cl 0.000 0.000 0.500
Cl 0.331 0.339 0.834
Cl 0.339 0.331 0.334
Cl 0.661 0.669 0.666
Cl 0.669 0.661 0.166
O 0.009 0.472 0.081
O 0.040 0.417 0.404
O 0.055 0.726 0.212
O 0.136 0.682 0.569
O 0.248 0.629 0.109
O 0.268 0.610 0.765
O 0.274 0.945 0.288
O 0.318 0.864 0.931
O 0.371 0.752 0.391
O 0.390 0.732 0.735
O 0.417 0.040 0.904
O 0.472 0.009 0.581
O 0.528 0.991 0.419
O 0.583 0.960 0.096
O 0.610 0.268 0.265
O 0.629 0.248 0.609
O 0.682 0.136 0.069
O 0.726 0.055 0.712
O 0.732 0.390 0.235
O 0.752 0.371 0.891
O 0.864 0.318 0.431
O 0.945 0.274 0.788
O 0.960 0.583 0.596
O 0.991 0.528 0.919



No. 4
Diffraction record for Na2Tb3Te4Cl3O12. The powder X-ray diffraction pattern is theoretical, not measured: it uses a DFT-relaxed cell (GGA-PBE, OQMD) and Cu Kα (λ = 1.5418 Å).

The 8 most intense peaks (2θ = 10–90°), in order of rising 2θ:
2θ = 10.4°, d 8.482, intensity 42; 2θ = 19.9°, d 4.460, intensity 16; 2θ = 23.8°, d 3.736, intensity 11; 2θ = 25.0°, d 3.556, intensity 31; 2θ = 31.1°, d 2.878, intensity 100; 2θ = 32.3°, d 2.770, intensity 31; 2θ = 46.4°, d 1.959, intensity 17; 2θ = 56.9°, d 1.617, intensity 13

Structure:
Cell: 12.191 12.191 16.642 Å, 132.96 132.96 26.23°
Fractional coordinates of all 48 atoms:
Na 0.057 0.611 0.927
Na 0.389 0.943 0.573
Na 0.611 0.057 0.427
Na 0.943 0.389 0.073
Tb 0.248 0.750 0.915
Tb 0.250 0.752 0.585
Tb 0.251 0.749 0.250
Tb 0.749 0.251 0.750
Tb 0.750 0.248 0.415
Tb 0.752 0.250 0.085
Te 0.068 0.659 0.300
Te 0.163 0.560 0.592
Te 0.341 0.932 0.200
Te 0.440 0.837 0.908
Te 0.560 0.163 0.092
Te 0.659 0.068 0.800
Te 0.837 0.440 0.408
Te 0.932 0.341 0.700
Cl 0.000 0.500 0.000
Cl 0.003 0.497 0.668
Cl 0.497 0.003 0.168
Cl 0.500 0.000 0.500
Cl 0.503 0.997 0.832
Cl 0.997 0.503 0.332
O 0.009 0.853 0.286
O 0.028 0.124 0.389
O 0.069 0.103 0.078
O 0.103 0.069 0.578
O 0.124 0.028 0.889
O 0.147 0.991 0.214
O 0.354 0.498 0.741
O 0.379 0.478 0.408
O 0.395 0.431 0.071
O 0.431 0.395 0.571
O 0.478 0.379 0.908
O 0.498 0.354 0.241
O 0.502 0.646 0.759
O 0.522 0.621 0.092
O 0.569 0.605 0.429
O 0.605 0.569 0.929
O 0.621 0.522 0.592
O 0.646 0.502 0.259
O 0.853 0.009 0.786
O 0.876 0.972 0.111
O 0.897 0.931 0.422
O 0.931 0.897 0.922
O 0.972 0.876 0.611
O 0.991 0.147 0.714



What did the second record say?
Diffraction record for Na9ZrP4ClO16. The powder X-ray diffraction pattern is theoretical, not measured: it uses a DFT-relaxed cell (GGA-PBE, OQMD) and Cu Kα (λ = 1.5418 Å).

The 8 most intense peaks (2θ = 10–90°), in order of rising 2θ:
2θ = 10.5°, d 8.427, intensity 87; 2θ = 19.8°, d 4.479, intensity 34; 2θ = 23.7°, d 3.752, intensity 55; 2θ = 24.6°, d 3.622, intensity 44; 2θ = 31.2°, d 2.868, intensity 54; 2θ = 33.7°, d 2.661, intensity 100; 2θ = 34.1°, d 2.631, intensity 47; 2θ = 34.5°, d 2.599, intensity 84

Structure:
Cell: 5.326 9.018 9.072 Å, 111.17 91.57 90.72°
Fractional coordinates of all 31 atoms:
Na 0.000 0.000 0.000
Na 0.006 0.617 0.583
Na 0.373 0.154 0.794
Na 0.400 0.535 0.009
Na 0.455 0.687 0.415
Na 0.474 0.264 0.194
Na 0.490 0.816 0.825
Na 0.872 0.353 0.832
Na 0.917 0.740 0.246
Zr 0.967 0.175 0.422
P 0.438 0.938 0.222
P 0.488 0.419 0.604
P 0.917 0.962 0.664
P 0.983 0.384 0.161
Cl 0.957 0.674 0.917
O 0.114 0.524 0.294
O 0.156 0.315 0.018
O 0.161 0.913 0.728
O 0.168 0.974 0.292
O 0.307 0.307 0.469
O 0.440 0.984 0.075
O 0.441 0.590 0.619
O 0.458 0.384 0.755
O 0.490 0.766 0.198
O 0.636 0.047 0.345
O 0.726 0.431 0.111
O 0.728 0.022 0.797
O 0.767 0.380 0.549
O 0.816 0.826 0.517
O 0.932 0.241 0.220
O 0.991 0.115 0.622